No. 1
Structure and calculated X-ray powder pattern of PrTlOs2O8 (a PBE-relaxed structure; Cu Kα (λ = 1.5418 Å)).

Atomic structure:
a b c (Å): 6.145 6.145 7.900
angles (deg): 90.00 90.00 120.00
Positions (direct):
Pr1 0.000 0.000 0.000
Tl1 0.000 0.000 0.500
Os1 0.333 0.667 0.271
Os2 0.667 0.333 0.729
O1 0.171 0.346 0.189
O2 0.175 0.829 0.189
O3 0.333 0.667 0.494
O4 0.346 0.175 0.811
O5 0.654 0.825 0.189
O6 0.667 0.333 0.506
O7 0.825 0.171 0.811
O8 0.829 0.654 0.811

Peak list (12 most intense, 2θ = 10–80°, by intensity)
h k l, 2θ (°), Rel. int.
1 0 1, 20.12, 100.0
1 0 2, 28.13, 88.0
1 1 0, 29.06, 83.2
0 2 2, 40.89, 40.9
2 1 2, 50.95, 34.5
1 1 4, 55.29, 26.3
2 1 1, 46.60, 21.1
0 1 3, 38.13, 17.6
3 0 0, 51.52, 17.3
4 -3 2, 67.78, 15.4
2 2 0, 60.24, 14.2
1 0 0, 16.66, 14.0

=====

No. 2
Structure and calculated X-ray powder pattern of OsPtO (a PBE-relaxed structure; Cu Kα (λ = 1.5418 Å)).

Atomic structure:
a b c (Å): 2.741 2.741 11.620
angles (deg): 90.00 90.00 90.00
Positions (direct):
Os1 0.000 0.000 0.000
Os2 0.500 0.500 0.500
Pt1 0.000 0.000 0.669
Pt2 0.500 0.500 0.169
O1 0.000 0.000 0.846
O2 0.500 0.500 0.346

Peak list (12 most intense, 2θ = 10–80°, by intensity)
h k l, 2θ (°), Rel. int.
1 0 3, 40.31, 100.0
1 1 0, 46.89, 57.4
0 0 2, 15.25, 56.4
1 0 1, 33.59, 54.2
2 0 0, 68.48, 37.0
1 0 5, 51.56, 13.5
0 0 4, 30.78, 13.1
1 1 2, 49.58, 12.1
1 1 4, 57.13, 9.7
2 1 1, 78.45, 9.2
1 0 7, 65.77, 8.7
2 0 2, 70.61, 4.4